1.
This entry pairs a crystal structure of Er2PuCd6 with its simulated powder X-ray diffraction pattern. Radiation: CuKα. Structure: a structure optimized by DFT (GGA-PBE).
Intensities are scaled so that the largest is 100.

Atomic structure:
a b c (Å): 8.7347 8.7347 3.2883
angles (deg): 90.00 90.00 120.00
Space group P6/mmm (No. 191)
Asymmetric unit:
Er: 0.3333 0.6667 0.0000 x2
Pu: 0.0000 0.0000 0.0000 x1
Cd: 0.0000 0.3358 0.5000 x6

Peak list (12 most intense, 10 to 80 degrees two-theta, sorted by position)
11.7°, rel. 3, hkl 1 0 0
20.3°, rel. 10, hkl 1 1 0
34.1°, rel. 100, hkl 1 1 1
35.6°, rel. 85, hkl 3 0 0
41.3°, rel. 2, hkl 2 2 0
50.1°, rel. 34, hkl 2 2 1
55.7°, rel. 2, hkl 4 1 0
55.9°, rel. 8, hkl 0 0 2
63.0°, rel. 34, hkl 4 1 1
64.0°, rel. 15, hkl 3 3 0
68.1°, rel. 25, hkl 3 0 2
75.4°, rel. 9, hkl 6 0 0

2.
This entry pairs a crystal structure of NdTmAl3 with its simulated powder X-ray diffraction pattern. Radiation: CuKα. Structure: a structure optimized by DFT (GGA-PBE).
Intensities are scaled so that the largest is 100.

Atomic structure:
a b c (Å): 3.655 27.598 4.562
angles (deg): 90.00 90.00 90.00
Space group Cmcm (No. 63)
Asymmetric unit:
Nd: 0.000 0.073 0.250 x4
Tm: 0.000 0.212 0.750 x4
Al: 0.000 0.326 0.750 x4
Al: 0.000 0.378 0.250 x4
Al: 0.000 0.476 0.250 x4

Peak list (12 most intense, 10 to 80 degrees two-theta, sorted by position)
19.3°, rel. 13, hkl 0 6 0
23.4°, rel. 69, hkl 0 4 1
24.6°, rel. 13, hkl 1 1 0
25.8°, rel. 14, hkl 0 8 0
32.9°, rel. 100, hkl 1 3 1
33.4°, rel. 61, hkl 1 7 0
38.1°, rel. 41, hkl 0 10 1
39.5°, rel. 25, hkl 0 0 2
48.3°, rel. 18, hkl 1 11 1
49.9°, rel. 14, hkl 2 0 0
52.7°, rel. 34, hkl 1 7 2
64.5°, rel. 18, hkl 2 10 1

3.
This entry pairs a crystal structure of Pu2CdInO8 with its simulated powder X-ray diffraction pattern. Radiation: CuKα. Structure: a structure optimized by DFT (GGA-PBE).
Intensities are scaled so that the largest is 100.

Atomic structure:
a b c (Å): 5.340 5.340 10.605
angles (deg): 90.00 90.00 90.00
Space group I-4 (No. 82)
Asymmetric unit:
Pu: 0.000 0.000 0.000 x2
Pu: 0.000 0.500 0.250 x2
Cd: 0.000 0.000 0.500 x2
In: 0.000 0.500 0.750 x2
O: 0.214 0.731 0.113 x8
O: 0.223 0.756 0.860 x8

Peak list (12 most intense, 10 to 80 degrees two-theta, sorted by position)
18.6°, rel. 17, hkl 1 0 1
29.0°, rel. 100, hkl 1 1 2
33.6°, rel. 23, hkl 2 0 0
33.8°, rel. 11, hkl 0 0 4
38.6°, rel. 5, hkl 2 1 1
48.2°, rel. 17, hkl 2 2 0
48.4°, rel. 33, hkl 2 0 4
57.3°, rel. 30, hkl 3 1 2
57.6°, rel. 15, hkl 1 1 6
60.2°, rel. 10, hkl 2 2 4
78.0°, rel. 6, hkl 3 3 2
78.3°, rel. 12, hkl 3 1 6

4.
This entry pairs a crystal structure of Sm5Ru2Br2 with its simulated powder X-ray diffraction pattern. Radiation: CuKα. Structure: a structure optimized by DFT (GGA-PBE).
Intensities are scaled so that the largest is 100.

Atomic structure:
a b c (Å): 16.241 7.921 7.924
angles (deg): 90.00 90.00 90.00
Space group Cmce (No. 64)
Asymmetric unit:
Sm: 0.000 0.000 0.000 x4
Sm: 0.110 0.155 0.347 x16
Ru: 0.000 0.143 0.642 x8
Br: 0.219 0.000 0.000 x8

Peak list (12 most intense, 10 to 80 degrees two-theta, sorted by position)
10.9°, rel. 73, hkl 2 0 0
25.1°, rel. 19, hkl 0 2 1
30.1°, rel. 39, hkl 3 1 2
31.6°, rel. 43, hkl 4 2 0
31.8°, rel. 35, hkl 5 1 1
32.0°, rel. 19, hkl 0 2 2
33.6°, rel. 69, hkl 4 2 1
36.3°, rel. 100, hkl 1 3 1
37.6°, rel. 54, hkl 5 1 2
42.0°, rel. 18, hkl 6 2 1
56.9°, rel. 19, hkl 5 3 3
63.5°, rel. 38, hkl 9 3 1

5.
This entry pairs a crystal structure of NdIn6Hg12 with its simulated powder X-ray diffraction pattern. Radiation: CuKα. Structure: a structure optimized by DFT (GGA-PBE).
Intensities are scaled so that the largest is 100.

Atomic structure:
a b c (Å): 11.5166 11.5166 13.4779
angles (deg): 90.00 90.00 120.00
Space group R-3 (No. 148, hexagonal axes)
Asymmetric unit:
Nd: 0.0000 0.0000 0.0000 x3
In: 0.0080 0.5609 0.7061 x18
Hg: 0.0362 0.8514 0.8071 x18
Hg: 0.0741 0.2169 0.4100 x18

Peak list (12 most intense, 10 to 80 degrees two-theta, sorted by position)
24.5°, rel. 33, hkl 3 -1 1
26.8°, rel. 25, hkl 3 0 0
33.1°, rel. 100, hkl 4 -3 1
33.5°, rel. 67, hkl 0 3 3
34.5°, rel. 64, hkl 0 1 5
35.1°, rel. 71, hkl 4 -1 2
35.7°, rel. 59, hkl 2 1 4
37.1°, rel. 24, hkl 4 -2 3
48.1°, rel. 17, hkl 5 -2 4
59.1°, rel. 16, hkl 1 4 6
61.6°, rel. 15, hkl 7 -5 3
72.0°, rel. 15, hkl 5 1 7